1.
CsKTl2Sb: theoretical PXRD pattern (CuKα), based on a structure optimized by DFT (PBE).

Structure:
abc: 4.9065 6.0705 14.0802
angles: 90.00 90.00 90.00
Space group Imm2 (No. 44)
Asymmetric unit:
Cs (0.0000, 0.0000, 0.0000)
K (0.0000, 0.5000, 0.7357)
Tl (0.0000, 0.0000, 0.4099)
Tl (0.0000, 0.5000, 0.2620)
Sb (0.0000, 0.0000, 0.6201)

Principal peaks in the range 2θ from 10° to 90°, low angle first:
2theta, I/Imax, index
15.90, 22, 0 1 1
19.16, 27, 1 0 1
23.97, 29, 0 1 3
26.28, 21, 1 0 3
26.57, 100, 1 1 2
29.43, 43, 0 2 0
34.67, 36, 1 1 4
35.13, 29, 0 1 5
36.63, 24, 2 0 0
47.66, 24, 2 2 0

2.
Cs3KSe6: theoretical PXRD pattern (CuKα), based on a structure optimized by DFT (PBE).

Structure:
abc: 14.2332 14.2332 13.1871
angles: 90.00 90.00 120.00
Space group R-3c (No. 167, hexagonal axes)
Asymmetric unit:
Cs (0.0000, 0.4401, 0.2500)
K (0.0000, 0.0000, 0.0000)
Se (0.0807, 0.2459, 0.3225)

Principal peaks in the range 2θ from 10° to 90°, low angle first:
2theta, I/Imax, index
12.44, 50, 1 1 0
23.79, 33, 1 1 3
25.03, 29, 2 2 0
26.94, 100, 1 3 1
29.43, 37, 3 1 2
30.76, 82, 0 2 4
39.27, 65, 4 1 3
43.10, 22, 1 5 2
52.41, 28, 3 5 1
54.09, 25, 1 5 5

3.
CsK2Se6: theoretical PXRD pattern (CuKα), based on a structure optimized by DFT (PBE).

Structure:
abc: 13.6787 9.7094 4.8058
angles: 90.00 96.55 90.00
Space group Cm (No. 8)
Asymmetric unit:
Cs (0.0000, 0.0000, 0.0000)
K (0.1393, 0.5000, 0.0622)
K (0.3410, 0.0000, 0.8825)
Se (0.1670, 0.2357, 0.6050)
Se (0.3104, 0.2613, 0.3358)
Se (0.4881, 0.1923, 0.4753)

Principal peaks in the range 2θ from 10° to 90°, low angle first:
2theta, I/Imax, index
18.27, 20, 0 2 0
22.39, 18, 1 1 1
26.18, 100, 0 2 1
27.14, 21, 3 1 -1
28.35, 40, 2 2 -1
34.05, 37, 3 3 0
37.04, 19, 0 4 0
38.52, 23, 2 0 -2
39.80, 22, 6 0 0
46.31, 23, 6 2 -1

4.
CsK2Se4: theoretical PXRD pattern (CuKα), based on a structure optimized by DFT (PBE).

Structure:
abc: 21.3866 5.0850 9.6625
angles: 90.00 99.77 90.00
Space group C2/c (No. 15)
Asymmetric unit:
Cs (0.0000, 0.2397, 0.2500)
K (0.1830, 0.4706, 0.7286)
Se (0.0991, 0.2378, 0.9584)
Se (0.1929, 0.0178, 0.4746)

Principal peaks in the range 2θ from 10° to 90°, low angle first:
2theta, I/Imax, index
19.11, 53, 2 0 -2
20.57, 41, 1 1 1
22.95, 32, 4 0 -2
24.38, 100, 3 1 1
27.18, 30, 3 1 -2
30.07, 36, 3 1 2
32.92, 34, 1 1 -3
34.53, 41, 7 1 -1
36.35, 44, 2 2 0
42.53, 28, 4 2 -2